Theoretical powder diffractogram
Compound: Ba3B2O6
Radiation: Cu Kα X-rays
Structure: a cell relaxed with PBE

Most intense lines, 2θ from 15° to 90°, by intensity:
2θ = 26.63°, intensity 100; 2θ = 42.39°, intensity 43; 2θ = 32.37°, intensity 41; 2θ = 51.14°, intensity 23; 2θ = 54.33°, intensity 23; 2θ = 18.52°, intensity 23

Atomic structure:
```
data_Ba3B2O6
_chemical_formula_sum 'Ba18 B12 O36'
_cell_length_a 9.5810
_cell_length_b 9.5810
_cell_length_c 14.0374
_cell_angle_alpha 90.00
_cell_angle_beta 90.00
_cell_angle_gamma 120.00
_space_group_name_H-M_alt 'R -3 c'
_space_group_IT_number 167
_space_group_name_Hall '-R 3 2"c'
loop_
_atom_site_label
_atom_site_type_symbol
_atom_site_fract_x
_atom_site_fract_y
_atom_site_fract_z
_atom_site_occupancy
Ba1 Ba 0.0000 0.3455 0.2500 1
B1 B 0.0000 0.0000 0.1152 1
O1 O 0.0042 0.1485 0.3852 1
```

Theoretical powder diffractogram
Compound: BaB4O7
Radiation: Cu Kα X-rays
Structure: a cell relaxed with PBE

Most intense lines, 2θ from 15° to 90°, by intensity:
2θ = 32.73°, intensity 100; 2θ = 43.48°, intensity 51; 2θ = 31.74°, intensity 50; 2θ = 31.14°, intensity 47; 2θ = 21.10°, intensity 43; 2θ = 21.95°, intensity 43

Atomic structure:
```
data_BaB4O7
_chemical_formula_sum 'Ba4 B16 O28'
_cell_length_a 9.102
_cell_length_b 11.110
_cell_length_c 4.348
_cell_angle_alpha 90.00
_cell_angle_beta 90.00
_cell_angle_gamma 90.00
_space_group_name_H-M_alt 'P n m a'
_space_group_IT_number 62
loop_
_space_group_symop_operation_xyz
'x,y,z'
'-x,-y,-z'
'-x+1/2,-y,z+1/2'
'x+1/2,y,-z+1/2'
'x+1/2,-y+1/2,-z+1/2'
'-x+1/2,y+1/2,z+1/2'
'-x,y+1/2,-z'
'x,-y+1/2,z'
loop_
_atom_site_label
_atom_site_type_symbol
_atom_site_fract_x
_atom_site_fract_y
_atom_site_fract_z
_atom_site_occupancy
Ba1 Ba 0.147 0.250 0.231 1
B1 B 0.089 0.626 0.208 1
B2 B 0.158 0.000 0.724 1
O1 O 0.063 0.104 0.705 1
O2 O 0.110 0.606 0.878 1
O3 O 0.132 0.750 0.288 1
O4 O 0.196 0.539 0.381 1
```

Theoretical powder diffractogram
Compound: BaBOsO6
Radiation: Cu Kα X-rays
Structure: a cell relaxed with PBE

Most intense lines, 2θ from 15° to 90°, by intensity:
2θ = 25.80°, intensity 100; 2θ = 23.77°, intensity 94; 2θ = 18.78°, intensity 71; 2θ = 18.95°, intensity 68; 2θ = 33.23°, intensity 64; 2θ = 32.91°, intensity 63

Atomic structure:
```
data_BaBOsO6
_chemical_formula_sum 'Ba1 B1 Os1 O6'
_cell_length_a 5.416
_cell_length_b 5.425
_cell_length_c 5.448
_cell_angle_alpha 90.37
_cell_angle_beta 119.65
_cell_angle_gamma 95.29
_space_group_name_H-M_alt 'P 1'
_space_group_IT_number 1
loop_
_space_group_symop_operation_xyz
'x,y,z'
loop_
_atom_site_label
_atom_site_type_symbol
_atom_site_fract_x
_atom_site_fract_y
_atom_site_fract_z
_atom_site_occupancy
Ba1 Ba 0.000 0.000 0.000 1
B1 B 0.511 0.363 0.772 1
Os1 Os 0.608 0.489 0.264 1
O1 O 0.236 0.525 0.111 1
O2 O 0.433 0.193 0.915 1
O3 O 0.549 0.290 0.554 1
O4 O 0.609 0.603 0.914 1
O5 O 0.772 0.778 0.468 1
O6 O 0.909 0.324 0.371 1
```

Theoretical powder diffractogram
Compound: Ba3BPO7
Radiation: Cu Kα X-rays
Structure: a cell relaxed with PBE

Most intense lines, 2θ from 15° to 90°, by intensity:
2θ = 31.98°, intensity 100; 2θ = 25.68°, intensity 90; 2θ = 30.25°, intensity 78; 2θ = 19.26°, intensity 58; 2θ = 44.60°, intensity 38; 2θ = 41.46°, intensity 32

Atomic structure:
```
data_Ba3BPO7
_chemical_formula_sum 'Ba6 B2 P2 O14'
_cell_length_a 5.5966
_cell_length_b 5.5966
_cell_length_c 14.9069
_cell_angle_alpha 90.00
_cell_angle_beta 90.00
_cell_angle_gamma 120.00
_space_group_name_H-M_alt 'P 63 m c'
_space_group_IT_number 186
_space_group_name_Hall 'P 6c -2c'
loop_
_atom_site_label
_atom_site_type_symbol
_atom_site_fract_x
_atom_site_fract_y
_atom_site_fract_z
_atom_site_occupancy
Ba1 Ba 0.0000 0.0000 0.0000 1
Ba2 Ba 0.3333 0.6667 0.1618 1
Ba3 Ba 0.3333 0.6667 0.8780 1
B1 B 0.3333 0.6667 0.5208 1
P1 P 0.0000 0.0000 0.2757 1
O1 O 0.0000 0.0000 0.1715 1
O2 O 0.0442 0.5221 0.5214 1
O3 O 0.1506 0.3011 0.3120 1
```

Theoretical powder diffractogram
Compound: BaPaB2O8
Radiation: Cu Kα X-rays
Structure: a cell relaxed with PBE

Most intense lines, 2θ from 15° to 90°, by intensity:
2θ = 19.42°, intensity 100; 2θ = 30.49°, intensity 73; 2θ = 41.59°, intensity 38; 2θ = 33.97°, intensity 32; 2θ = 46.29°, intensity 29; 2θ = 58.65°, intensity 22

Atomic structure:
```
data_BaPaB2O8
_chemical_formula_sum 'Ba1 Pa1 B2 O8'
_cell_length_a 5.2779
_cell_length_b 5.2779
_cell_length_c 7.6422
_cell_angle_alpha 90.00
_cell_angle_beta 90.00
_cell_angle_gamma 120.00
_space_group_name_H-M_alt 'P -3'
_space_group_IT_number 147
loop_
_space_group_symop_operation_xyz
'x,y,z'
'-x,-y,-z'
'-y,x-y,z'
'y,-x+y,-z'
'-x+y,-x,z'
'x-y,x,-z'
loop_
_atom_site_label
_atom_site_type_symbol
_atom_site_fract_x
_atom_site_fract_y
_atom_site_fract_z
_atom_site_occupancy
Ba1 Ba 0.0000 0.0000 0.0000 1
Pa1 Pa 0.0000 0.0000 0.5000 1
B1 B 0.3333 0.6667 0.7412 1
O1 O 0.1800 0.3630 0.6807 1
O2 O 0.3333 0.6667 0.9319 1
```

Theoretical powder diffractogram
Compound: Rb2BaB2O6
Radiation: Cu Kα X-rays
Structure: a cell relaxed with PBE

Most intense lines, 2θ from 15° to 90°, by intensity:
2θ = 27.35°, intensity 100; 2θ = 30.58°, intensity 56; 2θ = 18.01°, intensity 45; 2θ = 41.48°, intensity 28; 2θ = 39.94°, intensity 25; 2θ = 46.21°, intensity 22

Atomic structure:
```
data_Rb2BaB2O6
_chemical_formula_sum 'Rb4 Ba2 B4 O12'
_cell_length_a 10.125
_cell_length_b 5.849
_cell_length_c 7.868
_cell_angle_alpha 90.00
_cell_angle_beta 115.43
_cell_angle_gamma 90.00
_space_group_name_H-M_alt 'C 1 2/m 1'
_space_group_IT_number 12
loop_
_space_group_symop_operation_xyz
'x,y,z'
'-x,-y,-z'
'-x,y,-z'
'x,-y,z'
'x+1/2,y+1/2,z'
'-x+1/2,-y+1/2,-z'
'-x+1/2,y+1/2,-z'
'x+1/2,-y+1/2,z'
loop_
_atom_site_label
_atom_site_type_symbol
_atom_site_fract_x
_atom_site_fract_y
_atom_site_fract_z
_atom_site_occupancy
Rb1 Rb 0.198 0.000 0.094 1
Ba1 Ba 0.000 0.000 0.500 1
B1 B 0.082 0.500 0.244 1
O1 O 0.014 0.297 0.245 1
O2 O 0.217 0.500 0.244 1
```

Theoretical powder diffractogram
Compound: BaReB2O8
Radiation: Cu Kα X-rays
Structure: a cell relaxed with PBE

Most intense lines, 2θ from 15° to 90°, by intensity:
2θ = 20.73°, intensity 100; 2θ = 22.02°, intensity 66; 2θ = 30.12°, intensity 59; 2θ = 33.33°, intensity 41; 2θ = 23.80°, intensity 37; 2θ = 37.88°, intensity 32

Atomic structure:
```
data_BaReB2O8
_chemical_formula_sum 'Ba2 Re2 B4 O16'
_cell_length_a 8.218
_cell_length_b 5.054
_cell_length_c 7.612
_cell_angle_alpha 90.00
_cell_angle_beta 100.77
_cell_angle_gamma 90.00
_space_group_name_H-M_alt 'C 1 2/m 1'
_space_group_IT_number 12
loop_
_space_group_symop_operation_xyz
'x,y,z'
'-x,-y,-z'
'-x,y,-z'
'x,-y,z'
'x+1/2,y+1/2,z'
'-x+1/2,-y+1/2,-z'
'-x+1/2,y+1/2,-z'
'x+1/2,-y+1/2,z'
loop_
_atom_site_label
_atom_site_type_symbol
_atom_site_fract_x
_atom_site_fract_y
_atom_site_fract_z
_atom_site_occupancy
Ba1 Ba 0.000 0.000 0.000 1
Re1 Re 0.000 0.000 0.500 1
B1 B 0.115 0.500 0.290 1
O1 O 0.020 0.263 0.326 1
O2 O 0.149 0.500 0.112 1
O3 O 0.226 0.000 0.582 1
```

Theoretical powder diffractogram
Compound: BaReBO6
Radiation: Cu Kα X-rays
Structure: a cell relaxed with PBE

Most intense lines, 2θ from 15° to 90°, by intensity:
2θ = 25.26°, intensity 100; 2θ = 19.93°, intensity 28; 2θ = 47.36°, intensity 25; 2θ = 43.55°, intensity 24; 2θ = 34.87°, intensity 23; 2θ = 56.96°, intensity 21

Atomic structure:
```
data_BaReBO6
_chemical_formula_sum 'Ba1 Re1 B1 O6'
_cell_length_a 5.144
_cell_length_b 5.146
_cell_length_c 5.766
_cell_angle_alpha 90.04
_cell_angle_beta 90.00
_cell_angle_gamma 119.98
_space_group_name_H-M_alt 'P 1'
_space_group_IT_number 1
loop_
_space_group_symop_operation_xyz
'x,y,z'
loop_
_atom_site_label
_atom_site_type_symbol
_atom_site_fract_x
_atom_site_fract_y
_atom_site_fract_z
_atom_site_occupancy
Ba1 Ba 0.000 0.000 0.000 1
Re1 Re 0.334 0.668 0.472 1
B1 B 0.667 0.334 0.239 1
O1 O 0.064 0.720 0.616 1
O2 O 0.282 0.347 0.618 1
O3 O 0.475 0.024 0.221 1
O4 O 0.549 0.526 0.222 1
O5 O 0.655 0.938 0.617 1
O6 O 0.977 0.451 0.221 1
```

Theoretical powder diffractogram
Compound: BaB4Sb2O12
Radiation: Cu Kα X-rays
Structure: a cell relaxed with PBE

Most intense lines, 2θ from 15° to 90°, by intensity:
2θ = 25.86°, intensity 100; 2θ = 18.11°, intensity 83; 2θ = 27.50°, intensity 48; 2θ = 31.91°, intensity 43; 2θ = 27.86°, intensity 41; 2θ = 33.39°, intensity 32

Atomic structure:
```
data_BaB4Sb2O12
_chemical_formula_sum 'Ba4 B16 Sb8 O48'
_cell_length_a 7.029
_cell_length_b 11.973
_cell_length_c 11.385
_cell_angle_alpha 90.00
_cell_angle_beta 102.09
_cell_angle_gamma 90.00
_space_group_name_H-M_alt 'C 1 2/c 1'
_space_group_IT_number 15
loop_
_space_group_symop_operation_xyz
'x,y,z'
'-x,-y,-z'
'-x,y,-z+1/2'
'x,-y,z+1/2'
'x+1/2,y+1/2,z'
'-x+1/2,-y+1/2,-z'
'-x+1/2,y+1/2,-z+1/2'
'x+1/2,-y+1/2,z+1/2'
loop_
_atom_site_label
_atom_site_type_symbol
_atom_site_fract_x
_atom_site_fract_y
_atom_site_fract_z
_atom_site_occupancy
Ba1 Ba 0.000 0.033 0.250 1
B1 B 0.117 0.471 0.390 1
B2 B 0.147 0.326 0.121 1
Sb1 Sb 0.000 0.309 0.750 1
Sb2 Sb 0.250 0.250 0.500 1
O1 O 0.029 0.237 0.085 1
O2 O 0.076 0.436 0.124 1
O3 O 0.155 0.183 0.839 1
O4 O 0.164 0.426 0.852 1
O5 O 0.195 0.319 0.648 1
O6 O 0.225 0.095 0.562 1
```

Q: Number 2 is which compound?
A: BaB4O7

Q: Number 2 is which compound?
A: BaB4O7